Starting from a cell relaxed with GGA-PBE, the X-ray diffraction stick pattern of Na5Ca7Zr2Ti2Si8O30F6 was calculated for Cu Kα X-rays.

Cell: 7.301 10.216 11.526 Å, 68.12 89.98 79.27°
Space group P-1 (No. 2)
One atom of each set of equivalent atoms:
1 Na 0.000 0.000 0.000 [1 per cell]
2 Na 0.089 0.640 0.792 [2 per cell]
3 Na 0.249 0.001 0.245 [2 per cell]
4 Ca 0.000 0.000 0.500 [1 per cell]
5 Ca 0.087 0.633 0.287 [2 per cell]
6 Ca 0.266 0.987 0.758 [2 per cell]
7 Ca 0.408 0.373 0.710 [2 per cell]
8 Zr 0.413 0.348 0.222 [2 per cell]
9 Ti 0.500 0.000 0.000 [1 per cell]
10 Ti 0.500 0.000 0.500 [1 per cell]
11 Si 0.151 0.285 0.487 [2 per cell]
12 Si 0.157 0.288 0.989 [2 per cell]
13 Si 0.291 0.709 0.009 [2 per cell]
14 Si 0.294 0.722 0.509 [2 per cell]
15 O 0.061 0.737 0.992 [2 per cell]
16 O 0.064 0.745 0.527 [2 per cell]
17 O 0.164 0.358 0.588 [2 per cell]
18 O 0.166 0.388 0.843 [2 per cell]
19 O 0.196 0.378 0.344 [2 per cell]
20 O 0.210 0.351 0.094 [2 per cell]
21 O 0.270 0.117 0.539 [2 per cell]
22 O 0.280 0.123 0.028 [2 per cell]
23 O 0.323 0.889 0.464 [2 per cell]
24 O 0.329 0.871 0.979 [2 per cell]
25 O 0.338 0.655 0.403 [2 per cell]
26 O 0.359 0.593 0.152 [2 per cell]
27 O 0.373 0.661 0.896 [2 per cell]
28 O 0.392 0.624 0.650 [2 per cell]
29 O 0.473 0.130 0.321 [2 per cell]
30 F 0.009 0.880 0.208 [2 per cell]
31 F 0.038 0.892 0.707 [2 per cell]
32 F 0.463 0.116 0.808 [2 per cell]

Principal peaks in the range 2θ from 10° to 90°, sorted by position:
hkl  2θ (°)  d (Å)  I_rel
0 1 -2  22.17  4.009  38
0 3 0  28.84  3.096  82
2 2 2  30.01  2.978  100
-2 1 2  30.14  2.965  82
0 0 4  33.61  2.666  44
-2 4 2  47.96  1.897  26
4 1 0  49.97  1.825  37
2 2 6  54.17  1.693  29